# Sn2BiAu3
Calculated powder diffraction line list, λ = 1.5418 Å (Cu Kα). Input: a crystal structure in Alexandria, relaxed with PBE.
Neutral-atom scattering factors, no anomalous dispersion.

Cell lengths 7.5349, 4.1501, 9.7897 Å; angles 90.00, 105.27, 90.00 degrees
Positions (direct):
Sn  0.0057  0.2500  0.1715
Sn  0.2348  0.7500  0.5094
Sn  0.7652  0.2500  0.4906
Sn  0.9943  0.7500  0.8285
Bi  0.4635  0.7500  0.1610
Bi  0.5365  0.2500  0.8390
Au  0.1291  0.2500  0.6753
Au  0.2333  0.2500  0.9840
Au  0.3717  0.2500  0.3581
Au  0.6283  0.7500  0.6419
Au  0.7667  0.7500  0.0160
Au  0.8709  0.7500  0.3247

Top 8 peaks for 2θ from 15° to 90°, most intense first:
2θ (°), I (rel.)
42.05, 100
29.14, 78
35.32, 68
43.62, 49
33.18, 46
34.89, 43
28.56, 42
24.70, 40

=====

# SnBi2Au
Calculated powder diffraction line list, λ = 1.5418 Å (Cu Kα). Input: a crystal structure in Alexandria, relaxed with PBE.
Neutral-atom scattering factors, no anomalous dispersion.

Cell lengths 3.9419, 4.0971, 14.6409 Å; angles 90.00, 90.02, 90.00 degrees
Positions (direct):
Sn  0.2492  0.0000  0.0819
Sn  0.7508  0.5000  0.9181
Bi  0.2445  0.9979  0.4170
Bi  0.2542  0.9981  0.6906
Bi  0.7458  0.4981  0.3094
Bi  0.7555  0.4979  0.5830
Au  0.2506  0.0000  0.8877
Au  0.7494  0.5000  0.1123

Top 8 peaks for 2θ from 15° to 90°, most intense first:
2θ (°), I (rel.)
31.49, 100
40.18, 21
44.21, 20
32.81, 19
24.32, 19
33.41, 19
46.05, 18
28.44, 15

=====

# Sr3BiAu
Calculated powder diffraction line list, λ = 1.5418 Å (Cu Kα). Input: a crystal structure in Alexandria, relaxed with PBE.
Neutral-atom scattering factors, no anomalous dispersion.

Cell lengths 9.4854, 9.4854, 4.7367 Å; angles 90.00, 90.00, 111.46 degrees
Positions (direct):
Sr  0.1526  0.8474  0.0000
Sr  0.1912  0.4340  0.5000
Sr  0.4340  0.1912  0.5000
Sr  0.5660  0.8088  0.5000
Sr  0.8088  0.5660  0.5000
Sr  0.8474  0.1526  0.0000
Bi  0.0000  0.0000  0.5000
Bi  0.5000  0.5000  0.0000
Au  0.0000  0.5000  0.0000
Au  0.5000  0.0000  0.0000

Top 8 peaks for 2θ from 15° to 90°, most intense first:
2θ (°), I (rel.)
20.12, 100
26.74, 86
34.11, 62
38.35, 37
31.96, 36
37.99, 34
21.92, 34
55.09, 30

=====

# SrBiAu10
Calculated powder diffraction line list, λ = 1.5418 Å (Cu Kα). Input: a crystal structure in Alexandria, relaxed with PBE.
Neutral-atom scattering factors, no anomalous dispersion.

Cell lengths 4.6527, 5.6838, 9.8525 Å; angles 90.00, 90.00, 90.00 degrees
Positions (direct):
Sr  0.0000  0.0000  0.0000
Bi  0.0000  0.5000  0.5000
Au  0.0000  0.0000  0.3400
Au  0.0000  0.0000  0.6600
Au  0.0000  0.5000  0.1721
Au  0.0000  0.5000  0.8279
Au  0.5000  0.0000  0.5000
Au  0.5000  0.2478  0.2479
Au  0.5000  0.2478  0.7521
Au  0.5000  0.5000  0.0000
Au  0.5000  0.7522  0.2479
Au  0.5000  0.7522  0.7521

Top 8 peaks for 2θ from 15° to 90°, most intense first:
2θ (°), I (rel.)
37.06, 100
41.49, 56
38.71, 35
18.01, 32
36.49, 28
78.92, 27
59.74, 25
65.68, 22

=====

# SrBiAu6
Calculated powder diffraction line list, λ = 1.5418 Å (Cu Kα). Input: a crystal structure in Alexandria, relaxed with PBE.
Neutral-atom scattering factors, no anomalous dispersion.

Cell lengths 5.6104, 5.6104, 5.6104 Å; angles 90.00, 90.00, 90.00 degrees
Positions (direct):
Sr  0.0000  0.0000  0.0000
Bi  0.5000  0.5000  0.5000
Au  0.0000  0.2506  0.5000
Au  0.0000  0.7494  0.5000
Au  0.2506  0.5000  0.0000
Au  0.5000  0.0000  0.2506
Au  0.5000  0.0000  0.7494
Au  0.7494  0.5000  0.0000

Top 8 peaks for 2θ from 15° to 90°, most intense first:
2θ (°), I (rel.)
35.79, 100
39.34, 58
61.88, 31
31.90, 25
59.40, 24
78.05, 22
66.68, 14
56.85, 11

=====

# SrBiAu5
Calculated powder diffraction line list, λ = 1.5418 Å (Cu Kα). Input: a crystal structure in Alexandria, relaxed with PBE.
Neutral-atom scattering factors, no anomalous dispersion.

Cell lengths 9.6036, 5.7711, 11.5812 Å; angles 90.00, 90.00, 90.00 degrees
Positions (direct):
Sr  0.2484  0.2500  0.0585
Sr  0.2516  0.7500  0.5585
Sr  0.7484  0.2500  0.4415
Sr  0.7516  0.7500  0.9415
Bi  0.1358  0.2500  0.3586
Bi  0.3642  0.7500  0.8586
Bi  0.6358  0.2500  0.1414
Bi  0.8642  0.7500  0.6414
Au  0.0675  0.2500  0.5933
Au  0.0770  0.5041  0.8085
Au  0.0770  0.9959  0.8085
Au  0.0836  0.7500  0.0194
Au  0.1764  0.7500  0.2523
Au  0.3236  0.2500  0.7523
Au  0.4164  0.2500  0.5194
Au  0.4230  0.0041  0.3085
Au  0.4230  0.4959  0.3085
Au  0.4325  0.7500  0.0933
Au  0.5675  0.2500  0.9067
Au  0.5770  0.5041  0.6915
Au  0.5770  0.9959  0.6915
Au  0.5836  0.7500  0.4806
Au  0.6764  0.7500  0.2477
Au  0.8236  0.2500  0.7477
Au  0.9164  0.2500  0.9806
Au  0.9230  0.0041  0.1915
Au  0.9230  0.4959  0.1915
Au  0.9325  0.7500  0.4067

Top 8 peaks for 2θ from 15° to 90°, most intense first:
2θ (°), I (rel.)
40.10, 100
39.58, 82
32.92, 70
37.17, 61
38.29, 40
42.06, 38
33.59, 36
19.51, 30

=====

# Tb4BiAu
Calculated powder diffraction line list, λ = 1.5418 Å (Cu Kα). Input: a crystal structure in Alexandria, relaxed with PBE.
Neutral-atom scattering factors, no anomalous dispersion.

Cell lengths 7.3356, 7.3627, 7.2850 Å; angles 90.00, 91.06, 90.00 degrees
Positions (direct):
Tb  0.1388  0.1653  0.1716
Tb  0.1388  0.3347  0.6716
Tb  0.3356  0.6414  0.1351
Tb  0.3356  0.8586  0.6351
Tb  0.6644  0.1414  0.3649
Tb  0.6644  0.3586  0.8649
Tb  0.8612  0.6653  0.3284
Tb  0.8612  0.8347  0.8284
Bi  0.5000  0.0000  0.0000
Bi  0.5000  0.5000  0.5000
Au  0.0000  0.0000  0.5000
Au  0.0000  0.5000  0.0000

Top 8 peaks for 2θ from 15° to 90°, most intense first:
2θ (°), I (rel.)
27.15, 100
40.80, 52
40.62, 44
20.87, 33
27.55, 29
41.03, 28
34.65, 25
29.68, 25

=====

# Bi2Te3Au
Calculated powder diffraction line list, λ = 1.5418 Å (Cu Kα). Input: a crystal structure in Alexandria, relaxed with PBE.
Neutral-atom scattering factors, no anomalous dispersion.

Cell lengths 8.3030, 8.3030, 6.7623 Å; angles 90.00, 90.00, 73.34 degrees
Positions (direct):
Bi  0.0433  0.6973  0.5000
Bi  0.3027  0.9567  0.5000
Bi  0.6973  0.0433  0.0000
Bi  0.9567  0.3027  0.0000
Te  0.0044  0.3288  0.4415
Te  0.3288  0.0044  0.9415
Te  0.4185  0.5815  0.4614
Te  0.5815  0.4185  0.9614
Te  0.6712  0.9956  0.4415
Te  0.9956  0.6712  0.9415
Au  0.2765  0.7235  0.1097
Au  0.7235  0.2765  0.6097

Top 8 peaks for 2θ from 15° to 90°, most intense first:
2θ (°), I (rel.)
26.36, 100
21.93, 99
17.89, 98
33.81, 81
38.69, 70
25.63, 58
43.37, 52
37.40, 52

=====

# BiTe2Au
Calculated powder diffraction line list, λ = 1.5418 Å (Cu Kα). Input: a crystal structure in Alexandria, relaxed with PBE.
Neutral-atom scattering factors, no anomalous dispersion.

Cell lengths 4.2340, 4.2340, 22.4937 Å; angles 90.00, 90.00, 120.00 degrees
Positions (direct):
Bi  0.0000  0.0000  0.0000
Bi  0.3333  0.6667  0.6667
Bi  0.6667  0.3333  0.3333
Te  0.0000  0.0000  0.2356
Te  0.0000  0.0000  0.4254
Te  0.3333  0.6667  0.0920
Te  0.3333  0.6667  0.9022
Te  0.6667  0.3333  0.5689
Te  0.6667  0.3333  0.7587
Au  0.0000  0.0000  0.8327
Au  0.3333  0.6667  0.4994
Au  0.6667  0.3333  0.1660

Top 8 peaks for 2θ from 15° to 90°, most intense first:
2θ (°), I (rel.)
31.48, 100
42.71, 55
37.20, 39
25.55, 32
24.60, 23
66.64, 22
54.01, 22
71.19, 19

=====

# ThBiAu
Calculated powder diffraction line list, λ = 1.5418 Å (Cu Kα). Input: a crystal structure in Alexandria, relaxed with PBE.
Neutral-atom scattering factors, no anomalous dispersion.

Cell lengths 4.7140, 4.7140, 4.4651 Å; angles 90.00, 90.00, 120.00 degrees
Positions (direct):
Th  0.0000  0.0000  0.0000
Bi  0.3333  0.6667  0.4519
Au  0.6667  0.3333  0.7358

Top 8 peaks for 2θ from 15° to 90°, most intense first:
2θ (°), I (rel.)
29.65, 100
38.18, 54
46.35, 28
49.07, 26
63.82, 24
74.79, 14
61.56, 12
89.24, 10

=====

# Th3Bi4Au3
Calculated powder diffraction line list, λ = 1.5418 Å (Cu Kα). Input: a crystal structure in Alexandria, relaxed with PBE.
Neutral-atom scattering factors, no anomalous dispersion.

Cell lengths 8.9750, 8.9750, 8.9750 Å; angles 109.47, 109.47, 109.47 degrees
Positions (direct):
Th  0.1250  0.7500  0.8750
Th  0.2500  0.6250  0.3750
Th  0.3750  0.2500  0.6250
Th  0.6250  0.3750  0.2500
Th  0.7500  0.8750  0.1250
Th  0.8750  0.1250  0.7500
Bi  0.0000  0.3125  0.5000
Bi  0.0000  0.8125  0.5000
Bi  0.1875  0.1875  0.1875
Bi  0.3125  0.5000  0.0000
Bi  0.5000  0.0000  0.3125
Bi  0.5000  0.0000  0.8125
Bi  0.6875  0.6875  0.6875
Bi  0.8125  0.5000  0.0000
Au  0.1250  0.8750  0.2500
Au  0.2500  0.1250  0.8750
Au  0.3750  0.6250  0.7500
Au  0.6250  0.7500  0.3750
Au  0.7500  0.3750  0.6250
Au  0.8750  0.2500  0.1250

Top 8 peaks for 2θ from 15° to 90°, most intense first:
2θ (°), I (rel.)
32.32, 100
38.86, 35
48.09, 18
42.74, 14
27.21, 13
60.60, 12
62.05, 11
56.13, 9

=====

# Ti6Bi3Au
Calculated powder diffraction line list, λ = 1.5418 Å (Cu Kα). Input: a crystal structure in Alexandria, relaxed with PBE.
Neutral-atom scattering factors, no anomalous dispersion.

Cell lengths 8.2569, 8.2569, 6.7920 Å; angles 90.00, 90.00, 110.84 degrees
Positions (direct):
Ti  0.0429  0.5290  0.6243
Ti  0.1170  0.8830  0.5000
Ti  0.2418  0.4224  0.0058
Ti  0.2491  0.7509  0.9233
Ti  0.4224  0.2418  0.5058
Ti  0.4710  0.9571  0.6243
Ti  0.5290  0.0429  0.1243
Ti  0.5776  0.7582  0.0058
Ti  0.7509  0.2491  0.4233
Ti  0.7582  0.5776  0.5058
Ti  0.8830  0.1170  0.0000
Ti  0.9571  0.4710  0.1243
Bi  0.0973  0.2507  0.3698
Bi  0.2507  0.0973  0.8698
Bi  0.4208  0.5792  0.6513
Bi  0.5792  0.4208  0.1513
Bi  0.7493  0.9027  0.3698
Bi  0.9027  0.7493  0.8698
Au  0.2852  0.7148  0.2980
Au  0.7148  0.2852  0.7980

Top 8 peaks for 2θ from 15° to 90°, most intense first:
2θ (°), I (rel.)
35.20, 100
25.47, 87
37.39, 63
29.35, 51
39.77, 48
18.47, 44
28.72, 40
32.22, 35

=====

# Tl4BiAu
Calculated powder diffraction line list, λ = 1.5418 Å (Cu Kα). Input: a crystal structure in Alexandria, relaxed with PBE.
Neutral-atom scattering factors, no anomalous dispersion.

Cell lengths 8.2919, 8.2919, 8.2919 Å; angles 125.27, 125.27, 81.09 degrees
Positions (direct):
Tl  0.0152  0.5152  0.8064
Tl  0.2088  0.0152  0.5000
Tl  0.2912  0.7912  0.8064
Tl  0.4848  0.2912  0.5000
Tl  0.5152  0.7088  0.5000
Tl  0.7088  0.2088  0.1936
Tl  0.7912  0.9848  0.5000
Tl  0.9848  0.4848  0.1936
Bi  0.0000  0.0000  0.0000
Bi  0.5000  0.5000  0.0000
Au  0.2500  0.2500  0.0000
Au  0.7500  0.7500  0.0000

Top 8 peaks for 2θ from 15° to 90°, most intense first:
2θ (°), I (rel.)
27.10, 100
37.30, 99
33.86, 99
32.93, 82
37.02, 63
59.20, 46
56.43, 41
57.93, 28